Calculated powder XRD pattern
Compound: NaY4ThSe8
Radiation: λ = 1.5418 Å (Cu Kα)
Structure: a DFT-relaxed cell (GGA-PBE, Alexandria)

Most intense lines, 2θ from 10° to 90°, sorted by position:
two_theta, d [Å], intensity
12.80, 6.915, 56
21.02, 4.227, 15
24.39, 3.650, 23
24.59, 3.620, 49
29.73, 3.005, 100
38.95, 2.312, 24
39.08, 2.305, 16
42.30, 2.137, 55
42.79, 2.113, 54
52.97, 1.729, 18
61.74, 1.503, 17
78.03, 1.225, 16

Structure:
```
data_NaY4ThSe8
_cell_length_a 8.547
_cell_length_b 8.547
_cell_length_c 8.547
_cell_angle_alpha 59.28
_cell_angle_beta 59.28
_cell_angle_gamma 59.28
_space_group_name_H-M_alt 'P 1'
_space_group_IT_number 1
loop_
_space_group_symop_operation_xyz
'x,y,z'
loop_
_atom_site_label
_atom_site_type_symbol
_atom_site_fract_x
_atom_site_fract_y
_atom_site_fract_z
Na1 Na 0.000 0.000 0.000
Y1 Y 0.116 0.633 0.633
Y2 Y 0.257 0.257 0.257
Y3 Y 0.633 0.116 0.633
Y4 Y 0.633 0.633 0.116
Th1 Th 0.632 0.632 0.632
Se1 Se 0.383 0.383 0.856
Se2 Se 0.383 0.856 0.383
Se3 Se 0.388 0.388 0.388
Se4 Se 0.405 0.871 0.871
Se5 Se 0.856 0.383 0.383
Se6 Se 0.868 0.868 0.868
Se7 Se 0.871 0.405 0.871
Se8 Se 0.871 0.871 0.405
```